Starting from a structure optimized by DFT (GGA-PBE), the X-ray diffraction stick pattern of ScNb2B2Ru5 was simulated for copper Kα.

Structural model:
```
data_ScNb2B2Ru5
_chemical_formula_sum 'Sc4 Nb8 B8 Ru20'
_cell_length_a 13.3987
_cell_length_b 13.4030
_cell_length_c 3.0527
_cell_angle_alpha 90.00
_cell_angle_beta 90.00
_cell_angle_gamma 90.00
_space_group_name_H-M_alt 'C m m m'
_space_group_IT_number 65
_space_group_name_Hall '-C 2 2'
loop_
_atom_site_label
_atom_site_fract_x
_atom_site_fract_y
_atom_site_fract_z
Sc1 0.1747 0.0000 0.0000
Nb1 0.0000 0.3233 0.0000
Nb2 0.2500 0.2500 0.0000
B1 0.0000 0.1194 0.0000
B2 0.1225 0.5000 0.0000
Ru1 0.0000 0.0000 0.5000
Ru2 0.0000 0.5000 0.5000
Ru3 0.1039 0.1799 0.5000
Ru4 0.1729 0.3927 0.5000
```

Largest 10 diffraction maxima, in order of rising 2θ, 2θ from 15° to 90°:
h k l  two_theta  intensity
5 1 0  34.12  22.0
1 3 1  36.27  52.4
5 3 0  39.20  68.3
4 0 1  39.96  36.1
4 2 1  42.26  100.0
2 6 0  42.67  45.6
1 5 1  45.54  36.6
0 0 2  60.68  18.9
5 3 2  74.65  19.4
6 8 1  77.84  27.9